1.
Structure and simulated powder diffractogram of VN2Cl4 (a structure optimized by DFT (GGA-PBE); CuKα).

Top 8 peaks for 2θ = 5–70°, sorted by position:
| 2theta | intensity |
| --- | --- |
| 5.71 | 100 |
| 11.44 | 42 |
| 17.20 | 43 |
| 27.80 | 33 |
| 32.57 | 14 |
| 32.87 | 15 |
| 33.18 | 30 |
| 49.17 | 19 |

Atomic structure:
Unit cell a=3.7041 b=3.7080 c=15.4721 alpha=88.59 beta=89.35 gamma=60.04
Fractional positions:
V 0.0000 0.0000 0.0000
N 0.0329 0.9173 0.2891
N 0.9671 0.0827 0.7109
Cl 0.0697 0.8940 0.6151
Cl 0.3336 0.3247 0.0838
Cl 0.6664 0.6753 0.9162
Cl 0.9303 0.1060 0.3849

=====

2.
Structure and simulated powder diffractogram of Bi2BN (a structure optimized by DFT (GGA-PBE); CuKα).

Top 8 peaks for 2θ = 5–70°, sorted by position:
| 2theta | intensity |
| --- | --- |
| 27.79 | 100 |
| 31.18 | 17 |
| 32.69 | 30 |
| 45.80 | 29 |
| 46.91 | 14 |
| 53.43 | 17 |
| 55.40 | 30 |
| 57.40 | 13 |

Atomic structure:
Unit cell a=6.9228 b=6.9228 c=6.9228 alpha=133.38 beta=133.38 gamma=68.05
Fractional positions:
Bi 0.1178 0.6250 0.9928
Bi 0.3750 0.3678 0.4928
Bi 0.6322 0.1250 0.0072
Bi 0.8750 0.8822 0.5072
B 0.2500 0.7500 0.5000
B 0.5000 0.5000 0.0000
N 0.0000 0.0000 0.0000
N 0.7500 0.2500 0.5000